This entry pairs a crystal structure of Pu2BeBiO8 with its simulated powder diffractogram. Radiation: Cu Kα X-rays. Structure: the PBE geometry in Alexandria.

Largest 10 diffraction maxima, in order of rising 2θ, 15° ≤ 2θ ≤ 90°:
2theta	d_spacing	I_rel
18.18	4.879	334
22.44	3.962	329
24.55	3.626	626
27.04	3.298	486
32.12	2.786	1000
36.84	2.440	312
48.24	1.887	431
51.07	1.788	346
63.42	1.467	231
72.27	1.307	140

Atomic structure:
abc: 6.5961 7.2511 6.7888
angles: 90.00 90.00 90.00
Space group Cmmm (No. 65)
One atom of each set of equivalent atoms:
1 Pu 0.0000 0.0000 0.2362 [4 per cell]
2 Be 0.0000 0.5000 0.0000 [2 per cell]
3 Bi 0.0000 0.5000 0.5000 [2 per cell]
4 O 0.0000 0.1775 0.5000 [4 per cell]
5 O 0.0000 0.1856 0.0000 [4 per cell]
6 O 0.1902 0.5000 0.2030 [8 per cell]